(1)
This entry pairs a crystal structure of LiSnB with its simulated PXRD pattern. Radiation: Cu Kα (weighted mean of Kα1 and Kα2). Structure: DFT lattice parameters and positions (PBE).

Structural model:
Cell: 5.573 5.573 5.573 Å, 90.00 90.00 90.00°
Atoms (fractional coordinates):
Li 0.000 0.000 0.000
Li 0.000 0.500 0.500
Li 0.500 0.000 0.500
Li 0.500 0.500 0.000
Sn 0.000 0.000 0.500
Sn 0.000 0.500 0.000
Sn 0.500 0.000 0.000
Sn 0.500 0.500 0.500
B 0.250 0.250 0.250
B 0.250 0.750 0.750
B 0.750 0.250 0.750
B 0.750 0.750 0.250

The 9 most intense peaks (10° ≤ 2θ ≤ 90°), sorted by position:
| d (Å) | Rel. int. |
| --- | --- |
| 3.218 | 100 |
| 2.786 | 53 |
| 1.970 | 51 |
| 1.680 | 48 |
| 1.609 | 15 |
| 1.393 | 8 |
| 1.279 | 20 |
| 1.246 | 20 |
| 1.138 | 19 |

***

(2)
This entry pairs a crystal structure of LuB2 with its simulated PXRD pattern. Radiation: Cu Kα (weighted mean of Kα1 and Kα2). Structure: DFT lattice parameters and positions (PBE).

Structural model:
Cell: 3.244 3.244 3.716 Å, 90.00 90.00 120.00°
Atoms (fractional coordinates):
Lu 0.000 0.000 0.000
B 0.333 0.667 0.500
B 0.667 0.333 0.500

The 10 most intense peaks (10° ≤ 2θ ≤ 90°), sorted by position:
| d (Å) | Rel. int. |
| --- | --- |
| 3.716 | 47 |
| 2.809 | 78 |
| 2.241 | 100 |
| 1.858 | 10 |
| 1.622 | 20 |
| 1.550 | 27 |
| 1.487 | 22 |
| 1.314 | 18 |
| 1.222 | 15 |
| 1.133 | 12 |

***

(3)
This entry pairs a crystal structure of LuB12 with its simulated PXRD pattern. Radiation: Cu Kα (weighted mean of Kα1 and Kα2). Structure: DFT lattice parameters and positions (PBE).

Structural model:
Cell: 5.274 5.274 5.274 Å, 60.00 60.00 60.00°
Atoms (fractional coordinates):
Lu 0.000 0.000 0.000
B 0.162 0.500 0.500
B 0.162 0.500 0.838
B 0.162 0.838 0.500
B 0.500 0.162 0.500
B 0.500 0.162 0.838
B 0.500 0.500 0.162
B 0.500 0.500 0.838
B 0.500 0.838 0.162
B 0.500 0.838 0.500
B 0.838 0.162 0.500
B 0.838 0.500 0.162
B 0.838 0.500 0.500

The 10 most intense peaks (10° ≤ 2θ ≤ 90°), sorted by position:
| d (Å) | Rel. int. |
| --- | --- |
| 4.306 | 99 |
| 3.729 | 74 |
| 2.637 | 45 |
| 2.249 | 100 |
| 2.153 | 30 |
| 1.711 | 34 |
| 1.668 | 25 |
| 1.522 | 29 |
| 1.261 | 31 |
| 1.243 | 21 |